Entry 1:
Structure and calculated powder X-ray diffraction pattern of LiPuAsO5 (a DFT-relaxed cell (PBE, Alexandria); Cu Kα).

Cell and atoms:
```
data_LiPuAsO5
_chemical_formula_sum 'Li2 Pu2 As2 O10'
_cell_length_a 5.966
_cell_length_b 5.966
_cell_length_c 7.900
_cell_angle_alpha 109.50
_cell_angle_beta 109.50
_cell_angle_gamma 92.51
_space_group_name_H-M_alt 'P 1'
_space_group_IT_number 1
loop_
_space_group_symop_operation_xyz
'x,y,z'
loop_
_atom_site_label
_atom_site_fract_x
_atom_site_fract_y
_atom_site_fract_z
Li1 0.184 0.816 0.750
Li2 0.816 0.184 0.250
Pu1 0.500 0.500 0.000
Pu2 0.500 0.500 0.500
As1 0.131 0.869 0.250
As2 0.869 0.131 0.750
O1 0.181 0.182 0.844
O2 0.182 0.181 0.344
O3 0.242 0.753 0.428
O4 0.247 0.758 0.072
O5 0.413 0.587 0.750
O6 0.587 0.413 0.250
O7 0.753 0.242 0.928
O8 0.758 0.247 0.572
O9 0.818 0.819 0.656
O10 0.819 0.818 0.156
```

Top 12 peaks for 15 to 90 degrees two-theta, sorted by position:
2theta	I/Imax
16.01	88
20.61	44
24.64	64
24.80	100
32.34	17
33.17	40
33.57	40
35.17	28
35.32	27
38.79	30
49.38	18
49.83	35



Entry 2:
Structure and calculated powder X-ray diffraction pattern of LiScAsO4 (a DFT-relaxed cell (PBE, Alexandria); Cu Kα).

Cell and atoms:
```
data_LiScAsO4
_chemical_formula_sum 'Li2 Sc2 As2 O8'
_cell_length_a 6.036
_cell_length_b 6.036
_cell_length_c 6.036
_cell_angle_alpha 117.49
_cell_angle_beta 116.67
_cell_angle_gamma 95.13
_space_group_name_H-M_alt 'P 1'
_space_group_IT_number 1
loop_
_space_group_symop_operation_xyz
'x,y,z'
loop_
_atom_site_label
_atom_site_fract_x
_atom_site_fract_y
_atom_site_fract_z
Li1 0.000 0.000 0.000
Li2 0.500 0.000 0.500
Sc1 0.500 0.000 0.000
Sc2 0.500 0.500 0.500
As1 0.110 0.360 0.750
As2 0.890 0.640 0.250
O1 0.237 0.256 0.518
O2 0.237 0.719 0.982
O3 0.273 0.245 0.028
O4 0.284 0.755 0.528
O5 0.716 0.245 0.472
O6 0.727 0.755 0.972
O7 0.763 0.281 0.018
O8 0.763 0.744 0.482
```

Top 12 peaks for 15 to 90 degrees two-theta, sorted by position:
2theta	I/Imax
17.86	58
21.82	26
28.16	63
29.72	91
33.55	39
33.77	100
35.98	41
36.05	20
50.82	19
53.52	39
53.71	22
61.72	52



Entry 3:
Structure and calculated powder X-ray diffraction pattern of Li2ScAsO4 (a DFT-relaxed cell (PBE, Alexandria); Cu Kα).

Cell and atoms:
```
data_Li2ScAsO4
_chemical_formula_sum 'Li4 Sc2 As2 O8'
_cell_length_a 4.274
_cell_length_b 4.274
_cell_length_c 9.195
_cell_angle_alpha 90.00
_cell_angle_beta 90.00
_cell_angle_gamma 90.00
_space_group_name_H-M_alt 'P 1'
_space_group_IT_number 1
loop_
_space_group_symop_operation_xyz
'x,y,z'
loop_
_atom_site_label
_atom_site_fract_x
_atom_site_fract_y
_atom_site_fract_z
Li1 0.000 0.000 0.000
Li2 0.000 0.500 0.250
Li3 0.500 0.000 0.750
Li4 0.500 0.500 0.500
Sc1 0.000 0.500 0.750
Sc2 0.500 0.000 0.250
As1 0.000 0.000 0.500
As2 0.500 0.500 0.000
O1 0.000 0.000 0.262
O2 0.000 0.000 0.738
O3 0.000 0.500 0.517
O4 0.000 0.500 0.983
O5 0.500 0.000 0.017
O6 0.500 0.000 0.483
O7 0.500 0.500 0.238
O8 0.500 0.500 0.762
```

Top 12 peaks for 15 to 90 degrees two-theta, sorted by position:
2theta	I/Imax
22.94	100
35.55	19
36.06	20
39.19	30
42.29	49
48.65	25
54.31	12
56.76	11
59.01	31
61.34	14
71.14	10
75.25	14



Entry 4:
Structure and calculated powder X-ray diffraction pattern of LiScAs2O6 (a DFT-relaxed cell (PBE, Alexandria); Cu Kα).

Cell and atoms:
```
data_LiScAs2O6
_chemical_formula_sum 'Li2 Sc2 As4 O12'
_cell_length_a 6.693
_cell_length_b 6.693
_cell_length_c 6.713
_cell_angle_alpha 108.45
_cell_angle_beta 108.45
_cell_angle_gamma 79.04
_space_group_name_H-M_alt 'P 1'
_space_group_IT_number 1
loop_
_space_group_symop_operation_xyz
'x,y,z'
loop_
_atom_site_label
_atom_site_fract_x
_atom_site_fract_y
_atom_site_fract_z
Li1 0.213 0.787 0.750
Li2 0.787 0.213 0.250
Sc1 0.411 0.589 0.250
Sc2 0.589 0.411 0.750
As1 0.131 0.282 0.742
As2 0.282 0.131 0.242
As3 0.718 0.869 0.758
As4 0.869 0.718 0.258
O1 0.111 0.206 0.429
O2 0.116 0.582 0.245
O3 0.206 0.111 0.929
O4 0.301 0.494 0.866
O5 0.418 0.884 0.255
O6 0.494 0.301 0.366
O7 0.506 0.699 0.634
O8 0.582 0.116 0.745
O9 0.699 0.506 0.134
O10 0.794 0.889 0.071
O11 0.884 0.418 0.755
O12 0.889 0.794 0.571
```

Top 12 peaks for 15 to 90 degrees two-theta, sorted by position:
2theta	I/Imax
17.17	19
18.85	39
20.86	41
25.48	33
28.00	100
29.17	69
30.35	62
35.38	16
45.82	28
46.65	29
49.55	16
55.22	24



Copy entry 1 word for word.
Structure and calculated powder X-ray diffraction pattern of LiPuAsO5 (a DFT-relaxed cell (PBE, Alexandria); Cu Kα).

Cell and atoms:
```
data_LiPuAsO5
_chemical_formula_sum 'Li2 Pu2 As2 O10'
_cell_length_a 5.966
_cell_length_b 5.966
_cell_length_c 7.900
_cell_angle_alpha 109.50
_cell_angle_beta 109.50
_cell_angle_gamma 92.51
_space_group_name_H-M_alt 'P 1'
_space_group_IT_number 1
loop_
_space_group_symop_operation_xyz
'x,y,z'
loop_
_atom_site_label
_atom_site_fract_x
_atom_site_fract_y
_atom_site_fract_z
Li1 0.184 0.816 0.750
Li2 0.816 0.184 0.250
Pu1 0.500 0.500 0.000
Pu2 0.500 0.500 0.500
As1 0.131 0.869 0.250
As2 0.869 0.131 0.750
O1 0.181 0.182 0.844
O2 0.182 0.181 0.344
O3 0.242 0.753 0.428
O4 0.247 0.758 0.072
O5 0.413 0.587 0.750
O6 0.587 0.413 0.250
O7 0.753 0.242 0.928
O8 0.758 0.247 0.572
O9 0.818 0.819 0.656
O10 0.819 0.818 0.156
```

Top 12 peaks for 15 to 90 degrees two-theta, sorted by position:
2theta	I/Imax
16.01	88
20.61	44
24.64	64
24.80	100
32.34	17
33.17	40
33.57	40
35.17	28
35.32	27
38.79	30
49.38	18
49.83	35



Question: Which formula does entry 2 have?
Answer: LiScAsO4



Question: Which formula does entry 3 have?
Answer: Li2ScAsO4



Copy entry 3 word for word.
Structure and calculated powder X-ray diffraction pattern of Li2ScAsO4 (a DFT-relaxed cell (PBE, Alexandria); Cu Kα).

Cell and atoms:
```
data_Li2ScAsO4
_chemical_formula_sum 'Li4 Sc2 As2 O8'
_cell_length_a 4.274
_cell_length_b 4.274
_cell_length_c 9.195
_cell_angle_alpha 90.00
_cell_angle_beta 90.00
_cell_angle_gamma 90.00
_space_group_name_H-M_alt 'P 1'
_space_group_IT_number 1
loop_
_space_group_symop_operation_xyz
'x,y,z'
loop_
_atom_site_label
_atom_site_fract_x
_atom_site_fract_y
_atom_site_fract_z
Li1 0.000 0.000 0.000
Li2 0.000 0.500 0.250
Li3 0.500 0.000 0.750
Li4 0.500 0.500 0.500
Sc1 0.000 0.500 0.750
Sc2 0.500 0.000 0.250
As1 0.000 0.000 0.500
As2 0.500 0.500 0.000
O1 0.000 0.000 0.262
O2 0.000 0.000 0.738
O3 0.000 0.500 0.517
O4 0.000 0.500 0.983
O5 0.500 0.000 0.017
O6 0.500 0.000 0.483
O7 0.500 0.500 0.238
O8 0.500 0.500 0.762
```

Top 12 peaks for 15 to 90 degrees two-theta, sorted by position:
2theta	I/Imax
22.94	100
35.55	19
36.06	20
39.19	30
42.29	49
48.65	25
54.31	12
56.76	11
59.01	31
61.34	14
71.14	10
75.25	14